# K2AcCu3O6
Computed powder diffractogram, λ = 1.5418 Å (Cu Kα). Input: a crystal structure in Alexandria, relaxed with PBE.
Kinematic intensities with the Lorentz-polarization factor, no thermal factor.

The 8 most intense peaks (2θ from 10° to 90°), in order of rising 2θ:
(hkl)  2theta  I/Imax
1 0 1  23.8  41
1 0 2  27.0  20
1 0 3  31.8  100
1 1 0  32.2  49
1 0 4  37.6  16
2 0 0  46.1  28
1 1 6  56.5  19
2 1 3  57.1  37

Cell: 3.9371 3.9371 12.0591 Å, 90.00 90.00 90.00°
Space group P4/mmm (No. 123)
Asymmetric unit:
1 K 0.0000 0.0000 0.1858 x2
2 Ac 0.0000 0.0000 0.5000 x1
3 Cu 0.5000 0.5000 0.0000 x1
4 Cu 0.5000 0.5000 0.3304 x2
5 O 0.0000 0.5000 0.3624 x4
6 O 0.5000 0.5000 0.1433 x2